(1)
Diffraction record for PuPb2I6. The powder diffraction line list is computed, not measured: it uses the GGA-PBE geometry in Alexandria and Cu Kα (λ = 1.5418 Å).
Neutral-atom scattering factors, no anomalous dispersion.

Main lines, in order of rising 2θ (2θ = 5–70°):
Position (°2θ), I (rel.)
11.86, 68.8
25.01, 49.7
25.29, 100.0
32.52, 17.5
32.70, 30.4
32.90, 47.7
38.80, 37.4
39.01, 18.7
42.67, 25.8
46.89, 28.0

```
PuPb2I6
1.0
8.440 -2.309 0.000
8.440 2.309 0.000
-2.801 0.000 10.682
Pu Pb I
1 2 6
Direct
0.000 0.000 0.000
0.335 0.335 0.669
0.665 0.665 0.331
0.023 0.023 0.298
0.306 0.306 0.365
0.365 0.365 0.976
0.635 0.635 0.024
0.694 0.694 0.635
0.977 0.977 0.702
```

***

(2)
Diffraction record for LaGa4Ru4. The powder diffraction line list is computed, not measured: it uses the GGA-PBE geometry in Alexandria and Cu Kα (λ = 1.5418 Å).
Neutral-atom scattering factors, no anomalous dispersion.

Main lines, in order of rising 2θ (2θ = 5–70°):
Position (°2θ), I (rel.)
14.89, 37.4
30.69, 54.8
33.68, 77.3
37.55, 22.9
39.13, 49.3
43.47, 100.0
48.81, 22.6
52.57, 34.8
55.70, 21.5
58.38, 21.5

```
LaGa4Ru4
1.0
8.415 0.000 0.000
0.000 8.415 0.000
0.000 0.000 4.603
La Ga Ru
2 8 8
Direct
0.250 0.250 0.250
0.750 0.750 0.750
0.025 0.902 0.206
0.098 0.525 0.706
0.402 0.975 0.706
0.475 0.598 0.206
0.525 0.402 0.794
0.598 0.025 0.294
0.902 0.475 0.294
0.975 0.098 0.794
0.135 0.854 0.697
0.146 0.635 0.197
0.354 0.865 0.197
0.365 0.646 0.697
0.635 0.354 0.303
0.646 0.135 0.803
0.854 0.365 0.803
0.865 0.146 0.303
```